Record 1
MgF2: theoretical powder diffraction line list (CuKα), based on a PBE-relaxed structure.

Structure:
```
data_MgF2
_chemical_formula_sum 'Mg2 F4'
_symmetry_space_group_name_H-M 'P 1'
_symmetry_Int_Tables_number 1
_symmetry_space_group_name_Hall 'P 1'
_cell_length_a 4.6940
_cell_length_b 4.6940
_cell_length_c 3.0946
_cell_angle_alpha 90.00
_cell_angle_beta 90.00
_cell_angle_gamma 90.00
loop_
_atom_site_label
_atom_site_type_symbol
_atom_site_fract_x
_atom_site_fract_y
_atom_site_fract_z
_atom_site_occupancy
Mg1 Mg 0.0000 0.0000 0.0000 1
Mg2 Mg 0.5000 0.5000 0.5000 1
F1 F 0.1967 0.1967 0.5000 1
F2 F 0.3033 0.6967 0.0000 1
F3 F 0.6967 0.3033 0.0000 1
F4 F 0.8033 0.8033 0.5000 1
```

Peak list (12 most intense, 2θ from 10° to 80°, sorted by position)
26.86 deg, I 1000
34.72 deg, I 176
39.83 deg, I 877
43.09 deg, I 289
52.69 deg, I 772
55.36 deg, I 301
59.77 deg, I 189
62.58 deg, I 50
66.69 deg, I 128
67.02 deg, I 414
70.34 deg, I 65
76.48 deg, I 64

Record 2
NpPd3: theoretical powder diffraction line list (CuKα), based on a PBE-relaxed structure.

Structure:
```
data_NpPd3
_chemical_formula_sum 'Np1 Pd3'
_symmetry_space_group_name_H-M 'P 1'
_symmetry_Int_Tables_number 1
_symmetry_space_group_name_Hall 'P 1'
_cell_length_a 4.1389
_cell_length_b 4.1389
_cell_length_c 4.1389
_cell_angle_alpha 90.00
_cell_angle_beta 90.00
_cell_angle_gamma 90.00
loop_
_atom_site_label
_atom_site_type_symbol
_atom_site_fract_x
_atom_site_fract_y
_atom_site_fract_z
_atom_site_occupancy
Np1 Np 0.0000 0.0000 0.0000 1
Pd1 Pd 0.0000 0.5000 0.5000 1
Pd2 Pd 0.5000 0.0000 0.5000 1
Pd3 Pd 0.5000 0.5000 0.0000 1
```

Peak list (10 most intense, 2θ from 10° to 80°, sorted by position)
21.47 deg, I 142
30.55 deg, I 124
37.64 deg, I 1000
43.74 deg, I 492
49.23 deg, I 72
54.29 deg, I 55
63.58 deg, I 323
67.94 deg, I 37
72.17 deg, I 25
76.31 deg, I 380

Record 3
KI: theoretical powder diffraction line list (CuKα), based on a PBE-relaxed structure.

Structure:
```
data_KI
_chemical_formula_sum 'K4 I4'
_symmetry_space_group_name_H-M 'P 1'
_symmetry_Int_Tables_number 1
_symmetry_space_group_name_Hall 'P 1'
_cell_length_a 8.6929
_cell_length_b 5.0224
_cell_length_c 8.5499
_cell_angle_alpha 90.00
_cell_angle_beta 90.00
_cell_angle_gamma 90.00
loop_
_atom_site_label
_atom_site_type_symbol
_atom_site_fract_x
_atom_site_fract_y
_atom_site_fract_z
_atom_site_occupancy
K1 K 0.0034 0.2500 0.2493 1
K2 K 0.4966 0.7500 0.7493 1
K3 K 0.5034 0.2500 0.2507 1
K4 K 0.9966 0.7500 0.7507 1
I1 I 0.2483 0.2500 0.9068 1
I2 I 0.2517 0.7500 0.4068 1
I3 I 0.7483 0.2500 0.5932 1
I4 I 0.7517 0.7500 0.0932 1
```

Peak list (12 most intense, 2θ from 10° to 80°, sorted by position)
20.45 deg, I 252
22.94 deg, I 1000
23.19 deg, I 596
29.11 deg, I 615
29.30 deg, I 200
35.76 deg, I 198
36.24 deg, I 371
37.34 deg, I 278
37.50 deg, I 168
41.55 deg, I 197
43.05 deg, I 226
56.30 deg, I 196

Record 4
CeMg2: theoretical powder diffraction line list (CuKα), based on a PBE-relaxed structure.

Structure:
```
data_CeMg2
_chemical_formula_sum 'Ce2 Mg4'
_symmetry_space_group_name_H-M 'P 1'
_symmetry_Int_Tables_number 1
_symmetry_space_group_name_Hall 'P 1'
_cell_length_a 5.8400
_cell_length_b 5.8400
_cell_length_c 5.5326
_cell_angle_alpha 90.00
_cell_angle_beta 90.00
_cell_angle_gamma 120.00
loop_
_atom_site_label
_atom_site_type_symbol
_atom_site_fract_x
_atom_site_fract_y
_atom_site_fract_z
_atom_site_occupancy
Ce1 Ce 0.3333 0.6667 0.0000 1
Ce2 Ce 0.6667 0.3333 0.0000 1
Mg1 Mg 0.0000 0.0000 0.0000 1
Mg2 Mg 0.0000 0.6739 0.5000 1
Mg3 Mg 0.3261 0.3261 0.5000 1
Mg4 Mg 0.6739 0.0000 0.5000 1
```

Peak list (12 most intense, 2θ from 10° to 80°, sorted by position)
16.02 deg, I 462
17.54 deg, I 272
23.84 deg, I 287
30.62 deg, I 430
32.36 deg, I 241
34.74 deg, I 1000
45.15 deg, I 295
54.42 deg, I 162
57.12 deg, I 102
59.26 deg, I 210
64.76 deg, I 190
66.20 deg, I 149

Record 5
InBi: theoretical powder diffraction line list (CuKα), based on a PBE-relaxed structure.

Structure:
```
data_InBi
_chemical_formula_sum 'In1 Bi1'
_symmetry_space_group_name_H-M 'P 1'
_symmetry_Int_Tables_number 1
_symmetry_space_group_name_Hall 'P 1'
_cell_length_a 4.8498
_cell_length_b 4.8498
_cell_length_c 4.8498
_cell_angle_alpha 60.00
_cell_angle_beta 60.00
_cell_angle_gamma 60.00
loop_
_atom_site_label
_atom_site_type_symbol
_atom_site_fract_x
_atom_site_fract_y
_atom_site_fract_z
_atom_site_occupancy
In1 In 0.0000 0.0000 0.0000 1
Bi1 Bi 0.7500 0.7500 0.7500 1
```

Peak list (11 most intense, 2θ from 10° to 80°, sorted by position)
22.45 deg, I 1000
25.98 deg, I 72
37.07 deg, I 786
43.78 deg, I 535
45.83 deg, I 24
53.44 deg, I 138
58.67 deg, I 227
60.35 deg, I 34
66.82 deg, I 283
71.47 deg, I 171
78.96 deg, I 90

Record 6
Ba2LaBiO6: theoretical powder diffraction line list (CuKα), based on a PBE-relaxed structure.

Structure:
```
data_Ba2LaBiO6
_chemical_formula_sum 'Ba2 La1 Bi1 O6'
_symmetry_space_group_name_H-M 'P 1'
_symmetry_Int_Tables_number 1
_symmetry_space_group_name_Hall 'P 1'
_cell_length_a 6.2717
_cell_length_b 6.2717
_cell_length_c 6.3225
_cell_angle_alpha 119.80
_cell_angle_beta 119.80
_cell_angle_gamma 60.19
loop_
_atom_site_label
_atom_site_type_symbol
_atom_site_fract_x
_atom_site_fract_y
_atom_site_fract_z
_atom_site_occupancy
Ba1 Ba 0.2486 0.2486 0.2410 1
Ba2 Ba 0.7514 0.7514 0.7590 1
La1 La 0.0000 0.0000 0.5000 1
Bi1 Bi 0.5000 0.5000 0.0000 1
O1 O 0.2212 0.6992 0.1970 1
O2 O 0.2634 0.2634 0.6917 1
O3 O 0.3008 0.7788 0.8030 1
O4 O 0.6992 0.2212 0.1970 1
O5 O 0.7366 0.7366 0.3083 1
O6 O 0.7788 0.3008 0.8030 1
```

Peak list (12 most intense, 2θ from 10° to 80°, sorted by position)
19.94 deg, I 86
28.25 deg, I 998
28.44 deg, I 1000
40.46 deg, I 371
40.62 deg, I 175
49.89 deg, I 228
50.21 deg, I 292
50.30 deg, I 297
58.43 deg, I 169
58.90 deg, I 111
66.16 deg, I 123
66.42 deg, I 190

Record 7
TbCo12B6: theoretical powder diffraction line list (CuKα), based on a PBE-relaxed structure.

Structure:
```
data_TbCo12B6
_chemical_formula_sum 'Tb1 Co12 B6'
_symmetry_space_group_name_H-M 'P 1'
_symmetry_Int_Tables_number 1
_symmetry_space_group_name_Hall 'P 1'
_cell_length_a 5.9591
_cell_length_b 5.9591
_cell_length_c 5.9591
_cell_angle_alpha 103.99
_cell_angle_beta 103.99
_cell_angle_gamma 103.99
loop_
_atom_site_label
_atom_site_type_symbol
_atom_site_fract_x
_atom_site_fract_y
_atom_site_fract_z
_atom_site_occupancy
Tb1 Tb 0.0000 0.0000 0.0000 1
Co1 Co 0.1324 0.5000 0.8676 1
Co2 Co 0.1324 0.8676 0.5000 1
Co3 Co 0.1860 0.4564 0.4564 1
Co4 Co 0.4564 0.1860 0.4564 1
Co5 Co 0.4564 0.4564 0.1860 1
Co6 Co 0.5000 0.1324 0.8676 1
Co7 Co 0.5000 0.8676 0.1324 1
Co8 Co 0.5436 0.5436 0.8140 1
Co9 Co 0.5436 0.8140 0.5436 1
Co10 Co 0.8140 0.5436 0.5436 1
Co11 Co 0.8676 0.1324 0.5000 1
Co12 Co 0.8676 0.5000 0.1324 1
B1 B 0.2328 0.2328 0.6760 1
B2 B 0.2328 0.6760 0.2328 1
B3 B 0.3240 0.7672 0.7672 1
B4 B 0.6760 0.2328 0.2328 1
B5 B 0.7672 0.3240 0.7672 1
B6 B 0.7672 0.7672 0.3240 1
```

Peak list (12 most intense, 2θ from 10° to 80°, sorted by position)
24.97 deg, I 103
31.50 deg, I 150
32.68 deg, I 405
33.04 deg, I 321
41.26 deg, I 583
41.86 deg, I 1000
47.16 deg, I 235
49.92 deg, I 213
59.02 deg, I 217
62.33 deg, I 178
64.65 deg, I 119
78.16 deg, I 109

Record 8
Na2MgS2O12: theoretical powder diffraction line list (CuKα), based on a PBE-relaxed structure.

Structure:
```
data_Na2MgS2O12
_chemical_formula_sum 'Na4 Mg2 S4 O24'
_symmetry_space_group_name_H-M 'P 1'
_symmetry_Int_Tables_number 1
_symmetry_space_group_name_Hall 'P 1'
_cell_length_a 4.9910
_cell_length_b 8.5740
_cell_length_c 12.2010
_cell_angle_alpha 90.00
_cell_angle_beta 94.82
_cell_angle_gamma 90.00
loop_
_atom_site_label
_atom_site_type_symbol
_atom_site_fract_x
_atom_site_fract_y
_atom_site_fract_z
_atom_site_occupancy
Na1 Na 0.1636 0.1091 0.3829 1
Na2 Na 0.1636 0.3909 0.8829 1
Na3 Na 0.8364 0.6091 0.1171 1
Na4 Na 0.8364 0.8909 0.6171 1
Mg1 Mg 0.5000 0.0000 0.0000 1
Mg2 Mg 0.5000 0.5000 0.5000 1
S1 S 0.0363 0.2110 0.0915 1
S2 S 0.0363 0.2890 0.5915 1
S3 S 0.9637 0.7110 0.4085 1
S4 S 0.9637 0.7890 0.9085 1
O1 O 0.0579 0.1168 0.5908 1
O2 O 0.0579 0.3832 0.0908 1
O3 O 0.1467 0.1414 0.1957 1
O4 O 0.1467 0.3586 0.6957 1
O5 O 0.1910 0.1529 0.9976 1
O6 O 0.1910 0.3471 0.4976 1
O7 O 0.2527 0.6663 0.4324 1
O8 O 0.2527 0.8337 0.9324 1
O9 O 0.4028 0.6449 0.7566 1
O10 O 0.4030 0.6898 0.6605 1
O11 O 0.4030 0.8102 0.1605 1
O12 O 0.4028 0.8551 0.2566 1
O13 O 0.5972 0.1449 0.7434 1
O14 O 0.5970 0.1898 0.8395 1
O15 O 0.5970 0.3102 0.3395 1
O16 O 0.5972 0.3551 0.2434 1
O17 O 0.7473 0.1663 0.0676 1
O18 O 0.7473 0.3337 0.5676 1
O19 O 0.8090 0.6529 0.5024 1
O20 O 0.8090 0.8471 0.0024 1
O21 O 0.8533 0.6414 0.3043 1
O22 O 0.8533 0.8586 0.8043 1
O23 O 0.9421 0.6168 0.9092 1
O24 O 0.9421 0.8832 0.4092 1
```

Peak list (12 most intense, 2θ from 10° to 80°, sorted by position)
12.63 deg, I 524
14.57 deg, I 339
17.87 deg, I 1000
20.70 deg, I 537
22.42 deg, I 603
24.47 deg, I 306
26.23 deg, I 771
28.05 deg, I 520
30.49 deg, I 262
33.23 deg, I 399
37.66 deg, I 541
54.00 deg, I 226

Record 9
Tb3NdFe34: theoretical powder diffraction line list (CuKα), based on a PBE-relaxed structure.

Structure:
```
data_Tb3NdFe34
_chemical_formula_sum 'Tb3 Nd1 Fe34'
_symmetry_space_group_name_H-M 'P 1'
_symmetry_Int_Tables_number 1
_symmetry_space_group_name_Hall 'P 1'
_cell_length_a 6.4348
_cell_length_b 6.4348
_cell_length_c 12.8647
_cell_angle_alpha 97.03
_cell_angle_beta 97.03
_cell_angle_gamma 82.98
loop_
_atom_site_label
_atom_site_type_symbol
_atom_site_fract_x
_atom_site_fract_y
_atom_site_fract_z
_atom_site_occupancy
Tb1 Tb 0.0000 0.0000 0.0000 1
Tb2 Tb 0.0007 0.0007 0.4998 1
Tb3 Tb 0.3174 0.3174 0.3415 1
Nd1 Nd 0.3168 0.3168 0.8416 1
Fe1 Fe 0.0012 0.0012 0.7478 1
Fe2 Fe 0.0013 0.5046 0.9995 1
Fe3 Fe 0.0024 0.0024 0.2481 1
Fe4 Fe 0.0023 0.5040 0.4988 1
Fe5 Fe 0.1590 0.6590 0.1707 1
Fe6 Fe 0.1586 0.6596 0.6701 1
Fe7 Fe 0.3156 0.3156 0.0938 1
Fe8 Fe 0.3158 0.3158 0.5922 1
Fe9 Fe 0.3157 0.8140 0.3424 1
Fe10 Fe 0.3158 0.8141 0.8422 1
Fe11 Fe 0.3654 0.6589 0.5236 1
Fe12 Fe 0.3653 0.9527 0.1707 1
Fe13 Fe 0.3660 0.6600 0.0246 1
Fe14 Fe 0.3661 0.9511 0.6699 1
Fe15 Fe 0.5040 0.0023 0.4988 1
Fe16 Fe 0.5046 0.0013 0.9995 1
Fe17 Fe 0.5622 0.5622 0.2191 1
Fe18 Fe 0.5627 0.5627 0.7185 1
Fe19 Fe 0.6590 0.1590 0.1707 1
Fe20 Fe 0.6589 0.3654 0.5236 1
Fe21 Fe 0.6591 0.6591 0.4206 1
Fe22 Fe 0.6590 0.9526 0.3175 1
Fe23 Fe 0.6596 0.1586 0.6701 1
Fe24 Fe 0.6600 0.3660 0.0246 1
Fe25 Fe 0.6596 0.6596 0.9208 1
Fe26 Fe 0.6598 0.9512 0.8170 1
Fe27 Fe 0.7560 0.7560 0.1224 1
Fe28 Fe 0.7559 0.7559 0.6220 1
Fe29 Fe 0.8140 0.3157 0.3424 1
Fe30 Fe 0.8141 0.3158 0.8422 1
Fe31 Fe 0.9511 0.3661 0.6699 1
Fe32 Fe 0.9512 0.6598 0.8170 1
Fe33 Fe 0.9527 0.3653 0.1707 1
Fe34 Fe 0.9526 0.6590 0.3175 1
```

Peak list (12 most intense, 2θ from 10° to 80°, sorted by position)
30.08 deg, I 393
36.52 deg, I 418
37.84 deg, I 268
42.42 deg, I 614
42.74 deg, I 1000
43.65 deg, I 485
48.01 deg, I 189
61.79 deg, I 157
62.49 deg, I 264
70.01 deg, I 156
77.60 deg, I 166
79.58 deg, I 171